No. 1
Theoretical powder diffractogram
Compound: PmZn2SiPt
Radiation: CuKα
Structure: a PBE-relaxed structure

Structural model:
```
data_PmZn2SiPt
_space_group_name_H-M_alt 'I m m 2'
_space_group_IT_number 44
_space_group_name_Hall 'I 2 -2'
_cell_length_a 4.166
_cell_length_b 4.197
_cell_length_c 10.438
_cell_angle_alpha 90.00
_cell_angle_beta 90.00
_cell_angle_gamma 90.00
loop_
_atom_site_label
_atom_site_type_symbol
_atom_site_fract_x
_atom_site_fract_y
_atom_site_fract_z
_atom_site_occupancy
Pm1 Pm 0.000 0.000 0.000 1
Zn1 Zn 0.000 0.000 0.616 1
Zn2 Zn 0.000 0.500 0.253 1
Si1 Si 0.000 0.000 0.385 1
Pt1 Pt 0.000 0.500 0.764 1
```

Most intense lines, 10° ≤ 2θ ≤ 80°, most intense first:
- 2θ = 34.87°, I 100, hkl 1 1 2
- 2θ = 33.45°, I 26, hkl 0 1 3
- 2θ = 22.98°, I 23, hkl 1 0 1
- 2θ = 43.11°, I 20, hkl 0 2 0
- 2θ = 43.44°, I 19, hkl 2 0 0
- 2θ = 73.68°, I 17, hkl 1 3 2
- 2θ = 48.77°, I 15, hkl 1 0 5
- 2θ = 34.37°, I 14, hkl 0 0 4

=====

No. 2
Theoretical powder diffractogram
Compound: Ce5Al2Au12
Radiation: CuKα
Structure: a PBE-relaxed structure

Structural model:
```
data_Ce5Al2Au12
_space_group_name_H-M_alt 'C 1 2/m 1'
_space_group_IT_number 12
_space_group_name_Hall '-C 2y'
_cell_length_a 15.887
_cell_length_b 7.632
_cell_length_c 6.847
_cell_angle_alpha 90.00
_cell_angle_beta 92.21
_cell_angle_gamma 90.00
loop_
_atom_site_label
_atom_site_type_symbol
_atom_site_fract_x
_atom_site_fract_y
_atom_site_fract_z
_atom_site_occupancy
Ce1 Ce 0.000 0.000 0.000 1
Ce2 Ce 0.203 0.500 0.530 1
Ce3 Ce 0.246 0.000 0.919 1
Al1 Al 0.000 0.279 0.500 1
Au1 Au 0.050 0.500 0.228 1
Au2 Au 0.093 0.000 0.584 1
Au3 Au 0.107 0.306 0.840 1
Au4 Au 0.153 0.191 0.243 1
```

Most intense lines, 10° ≤ 2θ ≤ 80°, most intense first:
- 2θ = 33.69°, I 100, hkl 5 1 1
- 2θ = 34.82°, I 88, hkl 4 2 -1
- 2θ = 32.79°, I 74, hkl 3 1 -2
- 2θ = 32.55°, I 56, hkl 4 2 0
- 2θ = 37.39°, I 55, hkl 2 2 2
- 2θ = 35.25°, I 53, hkl 4 0 2
- 2θ = 38.24°, I 41, hkl 1 3 1
- 2θ = 47.19°, I 38, hkl 8 0 -1

=====

No. 3
Theoretical powder diffractogram
Compound: Pr6Nd2Ho5
Radiation: CuKα
Structure: a PBE-relaxed structure

Structural model:
```
data_Pr6Nd2Ho5
_space_group_name_H-M_alt 'P b a m'
_space_group_IT_number 55
_space_group_name_Hall '-P 2 2ab'
_cell_length_a 11.892
_cell_length_b 20.680
_cell_length_c 3.667
_cell_angle_alpha 90.00
_cell_angle_beta 90.00
_cell_angle_gamma 90.00
loop_
_atom_site_label
_atom_site_type_symbol
_atom_site_fract_x
_atom_site_fract_y
_atom_site_fract_z
_atom_site_occupancy
Pr1 Pr 0.058 0.078 0.000 1
Pr2 Pr 0.081 0.366 0.000 1
Pr3 Pr 0.177 0.628 0.500 1
Nd1 Nd 0.166 0.785 0.000 1
Ho1 Ho 0.000 0.500 0.500 1
Ho2 Ho 0.094 0.223 0.500 1
Ho3 Ho 0.200 0.944 0.500 1
```

Most intense lines, 10° ≤ 2θ ≤ 80°, most intense first:
- 2θ = 31.46°, I 100, hkl 2 3 1
- 2θ = 31.21°, I 82, hkl 1 7 0
- 2θ = 30.37°, I 54, hkl 4 1 0
- 2θ = 30.83°, I 49, hkl 1 4 1
- 2θ = 33.54°, I 39, hkl 2 4 1
- 2θ = 35.81°, I 27, hkl 3 3 1
- 2θ = 34.47°, I 24, hkl 3 6 0
- 2θ = 49.73°, I 23, hkl 0 0 2

=====

No. 4
Theoretical powder diffractogram
Compound: Th8Co2Cu
Radiation: CuKα
Structure: a PBE-relaxed structure

Structural model:
```
data_Th8Co2Cu
_space_group_name_H-M_alt 'C 1 m 1'
_space_group_IT_number 8
_space_group_name_Hall 'C -2y'
_cell_length_a 7.955
_cell_length_b 13.268
_cell_length_c 5.996
_cell_angle_alpha 90.00
_cell_angle_beta 106.31
_cell_angle_gamma 90.00
loop_
_atom_site_label
_atom_site_type_symbol
_atom_site_fract_x
_atom_site_fract_y
_atom_site_fract_z
_atom_site_occupancy
Th1 Th 0.000 0.000 0.000 1
Th2 Th 0.094 0.373 0.773 1
Th3 Th 0.134 0.130 0.569 1
Th4 Th 0.239 0.500 0.363 1
Th5 Th 0.333 0.220 0.170 1
Co1 Co 0.397 0.288 0.741 1
Cu1 Cu 0.368 0.000 0.365 1
```

Most intense lines, 10° ≤ 2θ ≤ 80°, most intense first:
- 2θ = 31.12°, I 100, hkl 0 4 1
- 2θ = 31.55°, I 79, hkl 2 0 1
- 2θ = 29.80°, I 79, hkl 1 3 1
- 2θ = 30.72°, I 78, hkl 1 1 -2
- 2θ = 35.86°, I 75, hkl 2 4 0
- 2θ = 34.97°, I 55, hkl 3 1 -1
- 2θ = 37.81°, I 45, hkl 1 5 -1
- 2θ = 27.63°, I 43, hkl 2 2 -1

=====

Number 2 is which compound?
Ce5Al2Au12